The following is a simulated X-ray powder pattern of Sm6ErS8. It was derived from DFT lattice parameters and positions (PBE), using Cu Kα X-rays.

Main lines, most intense first (10 to 90 degrees two-theta):
| 2theta | I/Imax | (hkl) |
| --- | --- | --- |
| 31.68 | 100 | 4 0 0 |
| 45.42 | 72 | 4 4 0 |
| 27.35 | 68 | 2 2 2 |
| 53.83 | 34 | 6 2 2 |
| 75.23 | 32 | 8 4 0 |
| 56.43 | 25 | 4 4 4 |
| 83.92 | 24 | 8 4 4 |
| 13.58 | 17 | 1 1 1 |
| 73.01 | 14 | 6 6 2 |
| 66.18 | 12 | 8 0 0 |

Cell and atoms:
a = 11.297 Å, b = 11.297 Å, c = 11.297 Å
α = 90.00°, β = 90.00°, γ = 90.00°
Space group Fm-3m (No. 225)
Asymmetric unit:
Sm  0.000  0.250  0.250 x24
Er  0.000  0.000  0.000 x4
S  0.000  0.000  0.244 x24
S  0.250  0.250  0.250 x8


The following is a simulated X-ray powder pattern of Ti3Ga2. It was derived from DFT lattice parameters and positions (PBE), using Cu Kα X-rays.

Main lines, most intense first (10 to 90 degrees two-theta):
| 2theta | I/Imax | (hkl) |
| --- | --- | --- |
| 41.01 | 100 | 2 2 2 |
| 40.53 | 82 | 2 0 4 |
| 42.87 | 77 | 0 2 6 |
| 24.86 | 54 | 0 2 2 |
| 37.17 | 44 | 1 3 1 |
| 36.11 | 29 | 1 1 5 |
| 44.23 | 23 | 0 4 0 |
| 61.54 | 22 | 2 4 4 |
| 76.63 | 20 | 2 2 10 |
| 77.58 | 16 | 0 0 12 |

Cell and atoms:
a = 5.579 Å, b = 8.190 Å, c = 14.769 Å
α = 90.00°, β = 90.00°, γ = 90.00°
Space group Fmmm (No. 69)
Asymmetric unit:
Ti  0.000  0.000  0.173 x8
Ti  0.000  0.190  0.399 x16
Ga  0.213  0.000  0.000 x8
Ga  0.250  0.250  0.250 x8